Simulated PXRD pattern of Tm3NiHg2 for λ = 1.5418 Å (Cu Kα), from the GGA-PBE geometry in Alexandria.
Kinematic intensities with the Lorentz-polarization factor, no thermal factor.

Atomic structure:
Cell lengths 7.827, 7.827, 7.456 Å; angles 103.79, 103.79, 43.28 degrees
Positions (direct):
Tm1 0.001 0.999 0.750
Tm2 0.371 0.371 0.436
Tm3 0.371 0.371 0.936
Tm4 0.629 0.629 0.064
Tm5 0.629 0.629 0.564
Tm6 0.999 0.001 0.250
Ni1 0.499 0.501 0.250
Ni2 0.501 0.499 0.750
Hg1 0.190 0.191 0.595
Hg2 0.191 0.190 0.095
Hg3 0.809 0.810 0.905
Hg4 0.810 0.809 0.405

Most intense lines, 15° ≤ 2θ ≤ 90°, low angle first:
two_theta	I (rel.)
30.64	100
30.99	63
31.27	38
35.50	45
44.14	74
60.38	29

Simulated PXRD pattern of Zr6Ni6Hg for λ = 1.5418 Å (Cu Kα), from the GGA-PBE geometry in Alexandria.
Kinematic intensities with the Lorentz-polarization factor, no thermal factor.

Atomic structure:
Cell lengths 7.018, 7.018, 7.018 Å; angles 136.70, 99.06, 96.59 degrees
Positions (direct):
Zr1 0.158 0.500 0.658
Zr2 0.167 0.167 0.000
Zr3 0.323 0.000 0.323
Zr4 0.677 0.000 0.677
Zr5 0.833 0.833 0.000
Zr6 0.842 0.500 0.342
Ni1 0.000 0.000 0.500
Ni2 0.000 0.500 0.000
Ni3 0.260 0.760 0.500
Ni4 0.500 0.000 0.000
Ni5 0.500 0.500 0.500
Ni6 0.740 0.240 0.500
Hg1 0.500 0.500 0.000

Most intense lines, 15° ≤ 2θ ≤ 90°, low angle first:
two_theta	I (rel.)
34.23	79
38.56	56
39.13	57
39.44	100
39.81	50
40.06	46

Simulated PXRD pattern of NpHg3 for λ = 1.5418 Å (Cu Kα), from the GGA-PBE geometry in Alexandria.
Kinematic intensities with the Lorentz-polarization factor, no thermal factor.

Atomic structure:
Cell lengths 6.513, 6.513, 6.513 Å; angles 153.43, 61.54, 125.60 degrees
Positions (direct):
Np1 0.000 0.000 0.000
Hg1 0.432 0.687 0.745
Hg2 0.504 0.004 0.500
Hg3 0.942 0.687 0.255

Most intense lines, 15° ≤ 2θ ≤ 90°, low angle first:
two_theta	I (rel.)
31.98	53
33.50	29
34.11	76
37.26	100
60.51	25
65.56	27